Structure and simulated XRD peak list of RbTaB2O6 (DFT lattice parameters and positions (GGA-PBE); Cu Kα (weighted mean of Kα1 and Kα2)).
Peak positions follow from Bragg's law for the DFT cell and can differ from measured ones.

Top 10 peaks for 10 to 80 degrees two-theta, low angle first:
hkl  2θ/deg  Rel. int.
1 0 1  14.79  81
0 0 2  18.14  47
2 0 0  23.49  45
1 1 0  25.44  24
1 1 1  27.05  88
1 0 3  29.84  100
2 1 2  37.70  30
3 0 3  45.43  23
4 0 0  48.04  26
1 2 2  51.32  22

Structural model:
```
data_RbTaB2O6
_chemical_formula_sum 'Rb2 Ta2 B4 O12'
_cell_length_a 7.5753
_cell_length_b 3.9484
_cell_length_c 9.7801
_cell_angle_alpha 90.00
_cell_angle_beta 90.00
_cell_angle_gamma 90.00
_space_group_name_H-M_alt 'P m n 21'
_space_group_IT_number 31
_space_group_name_Hall 'P 2ac -2'
loop_
_atom_site_label
_atom_site_type_symbol
_atom_site_fract_x
_atom_site_fract_y
_atom_site_fract_z
Rb1 Rb 0.0000 0.0341 0.0000
Ta1 Ta 0.0000 0.3834 0.3921
B1 B 0.1646 0.5106 0.6798
O1 O 0.0000 0.5316 0.7465
O2 O 0.0000 0.9092 0.3920
O3 O 0.1804 0.4208 0.5458
O4 O 0.1906 0.4095 0.2555
```

---

Structure and simulated XRD peak list of RbTm3B4O12 (DFT lattice parameters and positions (GGA-PBE); Cu Kα (weighted mean of Kα1 and Kα2)).
Peak positions follow from Bragg's law for the DFT cell and can differ from measured ones.

Top 10 peaks for 10 to 80 degrees two-theta, low angle first:
hkl  2θ/deg  Rel. int.
1 1 0  17.34  39
0 2 1  22.40  91
2 0 2  28.34  100
2 1 1  28.47  23
1 1 3  34.79  15
2 2 0  35.10  22
1 3 1  37.99  20
3 1 2  41.97  50
0 2 4  45.38  24
2 2 3  46.78  24

Structural model:
```
data_RbTm3B4O12
_chemical_formula_sum 'Rb3 Tm9 B12 O36'
_cell_length_a 10.2262
_cell_length_b 10.2262
_cell_length_c 8.9573
_cell_angle_alpha 90.00
_cell_angle_beta 90.00
_cell_angle_gamma 120.00
_space_group_name_H-M_alt 'R 3 2'
_space_group_IT_number 155
_space_group_name_Hall 'R 3 2"'
loop_
_atom_site_label
_atom_site_type_symbol
_atom_site_fract_x
_atom_site_fract_y
_atom_site_fract_z
Rb1 Rb 0.0000 0.0000 0.0000
Tm1 Tm 0.0000 0.5502 0.0000
B1 B 0.0000 0.0000 0.5000
B2 B 0.0000 0.4555 0.5000
O1 O 0.0000 0.5910 0.5000
O2 O 0.0000 0.8636 0.5000
O3 O 0.0094 0.2163 0.2053
```

---

Structure and simulated XRD peak list of Rb3TmB2O6 (DFT lattice parameters and positions (GGA-PBE); Cu Kα (weighted mean of Kα1 and Kα2)).
Peak positions follow from Bragg's law for the DFT cell and can differ from measured ones.

Top 10 peaks for 10 to 80 degrees two-theta, low angle first:
hkl  2θ/deg  Rel. int.
0 0 1  12.33  21
1 0 0  18.25  37
0 1 1  22.08  29
1 0 2  30.97  100
1 1 0  31.89  66
2 0 1  39.13  20
2 0 2  45.05  41
2 1 2  56.25  31
1 1 4  61.30  21
1 3 2  75.30  15

Structural model:
```
data_Rb3TmB2O6
_chemical_formula_sum 'Rb3 Tm1 B2 O6'
_cell_length_a 5.6125
_cell_length_b 5.6125
_cell_length_c 7.1805
_cell_angle_alpha 90.00
_cell_angle_beta 90.00
_cell_angle_gamma 120.00
_space_group_name_H-M_alt 'P -3 m 1'
_space_group_IT_number 164
_space_group_name_Hall '-P 3 2"'
loop_
_atom_site_label
_atom_site_type_symbol
_atom_site_fract_x
_atom_site_fract_y
_atom_site_fract_z
Rb1 Rb 0.0000 0.0000 0.0000
Rb2 Rb 0.3333 0.6667 0.7519
Tm1 Tm 0.0000 0.0000 0.5000
B1 B 0.3333 0.6667 0.3164
O1 O 0.1893 0.3786 0.3161
```